Calculated X-ray diffraction stick pattern of Tb4Pr2Dy7 for Cu Kα X-rays, from a structure optimized by DFT (GGA-PBE).
Kinematic intensities with the Lorentz-polarization factor, no thermal factor.

Peak list (12 most intense, 10° ≤ 2θ ≤ 80°, low angle first)
2theta	intensity	index
26.65	20	0 0 4
29.31	14	1 1 0
30.08	48	2 -1 1
31.67	13	1 0 4
32.28	100	1 1 2
33.49	14	0 0 5
35.69	32	2 -1 3
50.74	19	1 1 6
51.98	30	3 0 0
62.51	18	4 -2 2
63.26	13	3 0 5
63.44	13	2 -1 8

Structural model:
abc: 6.0944 6.0944 13.3801
angles: 90.00 90.00 120.00
Atoms (fractional coordinates):
Tb 0.0000 0.0000 0.1052
Tb 0.0000 0.0000 0.8948
Tb 0.3333 0.6667 0.0000
Tb 0.6667 0.3333 0.0000
Pr 0.3333 0.6667 0.5000
Pr 0.6667 0.3333 0.5000
Dy 0.0000 0.0000 0.5000
Dy 0.0000 0.3536 0.2829
Dy 0.0000 0.6464 0.7171
Dy 0.3536 0.0000 0.2829
Dy 0.3536 0.3536 0.7171
Dy 0.6464 0.0000 0.7171
Dy 0.6464 0.6464 0.2829